1.
Calculated X-ray powder pattern
Compound: Sm7Sb2Pb2
Radiation: copper Kα
Structure: a structure optimized by DFT (PBE)

Top 6 peaks for 15 to 90 degrees two-theta, in order of falling intensity:
2theta, d/Å, I/Imax, index
35.5, 2.530, 100, 2 2 2
31.4, 2.851, 64, 0 4 0
23.2, 3.839, 56, 2 0 1
27.7, 3.216, 43, 1 1 2
35.7, 2.514, 35, 1 3 2
39.4, 2.289, 25, 2 4 1

Cell and atoms:
a b c (Å): 9.0702 11.4020 7.2137
angles (deg): 90.00 90.00 90.00
Space group Cmmm (No. 65)
Symmetry-distinct sites (fractional):
Sm: 0.0000 0.0000 0.0000 x2
Sm: 0.0000 0.5000 0.2575 x4
Sm: 0.2500 0.2500 0.2767 x8
Sb: 0.0000 0.2753 0.0000 x4
Pb: 0.1831 0.0000 0.5000 x4

=====

2.
Calculated X-ray powder pattern
Compound: Sm4SbPb
Radiation: copper Kα
Structure: a structure optimized by DFT (PBE)

Top 6 peaks for 15 to 90 degrees two-theta, in order of falling intensity:
2theta, d/Å, I/Imax, index
30.0, 2.975, 100, 3 1 -1
34.1, 2.629, 95, 2 2 1
33.3, 2.691, 82, 1 5 0
33.9, 2.645, 59, 1 3 -2
28.7, 3.110, 51, 1 1 -2
29.5, 3.029, 41, 0 4 1

Cell and atoms:
a b c (Å): 9.1378 14.2326 6.3993
angles (deg): 90.00 115.52 90.00
Space group C2/c (No. 15)
Symmetry-distinct sites (fractional):
Sm: 0.1092 0.1891 0.0736 x8
Sm: 0.1983 0.4181 0.3212 x8
Sb: 0.0000 0.0025 0.7500 x4
Pb: 0.0000 0.3803 0.7500 x4

=====

3.
Calculated X-ray powder pattern
Compound: Sm8Sb3Te4Pb
Radiation: copper Kα
Structure: a structure optimized by DFT (PBE)

Top 6 peaks for 15 to 90 degrees two-theta, in order of falling intensity:
2theta, d/Å, I/Imax, index
28.2, 3.164, 100, 0 2 4
40.3, 2.237, 76, 2 2 0
66.0, 1.415, 35, 2 4 4
49.9, 1.827, 27, 4 0 4
73.3, 1.292, 26, 6 0 0
58.3, 1.582, 13, 0 4 8

Cell and atoms:
a b c (Å): 8.9505 8.9505 21.9165
angles (deg): 90.00 90.00 120.00
Space group R-3m (No. 166, hexagonal axes)
Symmetry-distinct sites (fractional):
Sm: 0.0000 0.0000 0.2465 x6
Sm: 0.0001 0.5001 0.2469 x18
Sb: 0.0000 0.5000 0.5000 x9
Te: 0.0000 0.0000 0.0000 x3
Te: 0.0000 0.5000 0.0000 x9
Pb: 0.0000 0.0000 0.5000 x3

=====

4.
Calculated X-ray powder pattern
Compound: SnSb4Pb3
Radiation: copper Kα
Structure: a structure optimized by DFT (PBE)

Top 6 peaks for 15 to 90 degrees two-theta, in order of falling intensity:
2theta, d/Å, I/Imax, index
32.2, 2.780, 100, 2 2 0
57.4, 1.605, 31, 6 0 0
46.2, 1.966, 16, 0 4 2
27.8, 3.210, 11, 3 -1 1
76.7, 1.243, 10, 2 6 2
67.4, 1.390, 9, 4 4 0

Cell and atoms:
a b c (Å): 11.1146 11.1146 6.8138
angles (deg): 90.00 90.00 120.00
Space group R3 (No. 146, hexagonal axes)
Symmetry-distinct sites (fractional):
Sn: 0.0000 0.0000 0.0000 x3
Sb: 0.0000 0.0000 0.5680 x3
Sb: 0.1883 0.3784 0.8109 x9
Pb: 0.0002 0.5007 0.0002 x9

=====

5.
Calculated X-ray powder pattern
Compound: SnSb3Pb3
Radiation: copper Kα
Structure: a structure optimized by DFT (PBE)

Top 6 peaks for 15 to 90 degrees two-theta, in order of falling intensity:
2theta, d/Å, I/Imax, index
27.3, 3.269, 100, 0 0 4
36.5, 2.459, 60, 0 2 4
39.0, 2.312, 59, 6 0 4
26.4, 3.372, 34, 2 2 1
26.5, 3.358, 29, 5 1 1
24.1, 3.695, 25, 1 1 3

Cell and atoms:
a b c (Å): 19.6306 7.4687 13.0674
angles (deg): 90.00 90.00 90.00
Space group Cmce (No. 64)
Symmetry-distinct sites (fractional):
Sn: 0.0993 0.0000 0.0000 x8
Sb: 0.0000 0.1931 0.1342 x8
Sb: 0.1628 0.2301 0.3589 x16
Pb: 0.0000 0.1138 0.3682 x8
Pb: 0.1818 0.1805 0.6249 x16

=====

6.
Calculated X-ray powder pattern
Compound: Sn2SbPb
Radiation: copper Kα
Structure: a structure optimized by DFT (PBE)

Top 6 peaks for 15 to 90 degrees two-theta, in order of falling intensity:
2theta, d/Å, I/Imax, index
30.2, 2.955, 100, 0 4 0
32.6, 2.748, 91, 0 2 2
34.6, 2.591, 82, 1 2 1
28.4, 3.138, 76, 1 1 0
40.9, 2.207, 61, 1 1 2
28.8, 3.103, 53, 0 0 2

Cell and atoms:
a b c (Å): 3.2546 11.8211 6.2067
angles (deg): 90.00 90.00 90.00
Space group Imm2 (No. 44)
Symmetry-distinct sites (fractional):
Sn: 0.0000 0.2486 0.0000 x4
Sb: 0.0000 0.5000 0.1319 x2
Pb: 0.0000 0.5000 0.6313 x2

=====

7.
Calculated X-ray powder pattern
Compound: Sn2SbPb
Radiation: copper Kα
Structure: a structure optimized by DFT (PBE)

Top 6 peaks for 15 to 90 degrees two-theta, in order of falling intensity:
2theta, d/Å, I/Imax, index
22.4, 3.972, 100, 1 1 2
37.0, 2.433, 83, 2 2 0
43.6, 2.075, 53, 1 1 6
66.6, 1.404, 30, 2 2 8
58.5, 1.578, 23, 3 1 6
83.0, 1.163, 17, 3 1 10

Cell and atoms:
a b c (Å): 6.8785 6.8785 13.7687
angles (deg): 90.00 90.00 90.00
Space group I-42d (No. 122)
Symmetry-distinct sites (fractional):
Sn: 0.2430 0.2500 0.1250 x8
Sb: 0.0000 0.0000 0.0000 x4
Pb: 0.0000 0.0000 0.5000 x4

=====

8.
Calculated X-ray powder pattern
Compound: SnSb2Pb3
Radiation: copper Kα
Structure: a structure optimized by DFT (PBE)

Top 6 peaks for 15 to 90 degrees two-theta, in order of falling intensity:
2theta, d/Å, I/Imax, index
32.0, 2.795, 100, 3 1 2
33.0, 2.713, 26, 6 0 0
56.5, 1.629, 18, 6 2 0
32.9, 2.724, 18, 0 0 4
58.3, 1.582, 15, 9 1 2
47.3, 1.922, 12, 6 0 4

Cell and atoms:
a b c (Å): 16.2824 4.0717 10.8945
angles (deg): 90.00 90.00 90.00
Space group Pnma (No. 62)
Symmetry-distinct sites (fractional):
Sn: 0.1539 0.2500 0.1704 x4
Sb: 0.0029 0.7500 0.1038 x4
Sb: 0.1650 0.7500 0.3949 x4
Pb: 0.0024 0.7500 0.6294 x4
Pb: 0.1716 0.7500 0.9075 x4
Pb: 0.1804 0.2500 0.6346 x4

=====

9.
Calculated X-ray powder pattern
Compound: SrSb2Pb
Radiation: copper Kα
Structure: a structure optimized by DFT (PBE)

Top 6 peaks for 15 to 90 degrees two-theta, in order of falling intensity:
2theta, d/Å, I/Imax, index
31.6, 2.833, 100, 1 1 2
33.7, 2.659, 22, 0 2 0
31.8, 2.815, 21, 0 0 4
59.0, 1.566, 17, 1 3 2
47.0, 1.933, 14, 0 2 4
56.5, 1.629, 13, 1 1 6

Cell and atoms:
a b c (Å): 4.1629 5.3175 11.2602
angles (deg): 90.00 90.00 90.00
Space group Imm2 (No. 44)
Symmetry-distinct sites (fractional):
Sr: 0.0000 0.0000 0.0000 x2
Sb: 0.0000 0.0000 0.5089 x2
Sb: 0.0000 0.5000 0.2231 x2
Pb: 0.0000 0.5000 0.7713 x2

=====

10.
Calculated X-ray powder pattern
Compound: Sr6SbPb3
Radiation: copper Kα
Structure: a structure optimized by DFT (PBE)

Top 6 peaks for 15 to 90 degrees two-theta, in order of falling intensity:
2theta, d/Å, I/Imax, index
31.3, 2.860, 100, 3 0 1
26.7, 3.339, 95, 1 3 1
32.0, 2.800, 56, 2 4 0
31.5, 2.841, 54, 0 0 2
56.0, 1.643, 33, 3 0 3
22.3, 3.991, 27, 1 2 1

Cell and atoms:
a b c (Å): 9.9314 13.5893 5.6822
angles (deg): 90.00 90.00 90.00
Space group Pnnm (No. 58)
Symmetry-distinct sites (fractional):
Sr: 0.0193 0.2465 0.0000 x4
Sr: 0.1661 0.0917 0.5000 x4
Sr: 0.1778 0.4161 0.5000 x4
Sb: 0.0000 0.0000 0.0000 x2
Pb: 0.0000 0.5000 0.0000 x2
Pb: 0.1430 0.7104 0.5000 x4

=====

11.
Calculated X-ray powder pattern
Compound: SrSb2Pb2
Radiation: copper Kα
Structure: a structure optimized by DFT (PBE)

Top 6 peaks for 15 to 90 degrees two-theta, in order of falling intensity:
2theta, d/Å, I/Imax, index
30.9, 2.892, 100, 1 5 1
31.4, 2.846, 18, 0 10 0
37.1, 2.426, 17, 0 0 2
38.7, 2.326, 15, 2 0 0
63.0, 1.475, 13, 1 5 3
65.3, 1.430, 13, 3 5 1

Cell and atoms:
a b c (Å): 4.6510 28.4551 4.8524
angles (deg): 90.00 90.00 90.00
Space group Cmcm (No. 63)
Symmetry-distinct sites (fractional):
Sr: 0.0000 0.1624 0.2500 x4
Sb: 0.0000 0.2496 0.7500 x4
Sb: 0.0000 0.3709 0.2500 x4
Pb: 0.0000 0.0481 0.7500 x4
Pb: 0.0000 0.4465 0.7500 x4

=====

12.
Calculated X-ray powder pattern
Compound: SbTePb
Radiation: copper Kα
Structure: a structure optimized by DFT (PBE)

Top 6 peaks for 15 to 90 degrees two-theta, in order of falling intensity:
2theta, d/Å, I/Imax, index
26.2, 3.399, 100, 1 1 -2
40.6, 2.222, 87, 0 2 0
30.5, 2.934, 77, 2 0 2
34.0, 2.639, 50, 2 0 -4
39.9, 2.258, 43, 1 1 4
28.9, 3.089, 37, 2 0 -3

Cell and atoms:
a b c (Å): 7.7064 4.4381 12.3517
angles (deg): 90.00 101.89 90.00
Space group Cm (No. 8)
Symmetry-distinct sites (fractional):
Sb: 0.0000 0.0000 0.0000 x2
Sb: 0.1233 0.0000 0.3585 x2
Te: 0.1129 0.5000 0.8358 x2
Te: 0.3772 0.0000 0.1350 x2
Pb: 0.2273 0.0000 0.6759 x2
Pb: 0.3321 0.5000 0.4857 x2